(1)
For Ho4Ni, a DFT-relaxed cell (PBE, Alexandria) gives the calculated PXRD pattern in this record (copper Kα).
Peak positions follow from Bragg's law for the DFT cell and can differ from measured ones.

Crystal structure
```
data_Ho4Ni
_space_group_name_H-M_alt 'P 1'
_space_group_IT_number 1
_cell_length_a 5.276
_cell_length_b 5.276
_cell_length_c 5.276
_cell_angle_alpha 90.00
_cell_angle_beta 90.00
_cell_angle_gamma 90.00
loop_
_space_group_symop_operation_xyz
'x,y,z'
loop_
_atom_site_label
_atom_site_type_symbol
_atom_site_fract_x
_atom_site_fract_y
_atom_site_fract_z
Ho1 Ho 0.000 0.000 0.000
Ho2 Ho 0.000 0.500 0.500
Ho3 Ho 0.500 0.000 0.500
Ho4 Ho 0.500 0.500 0.000
Ni1 Ni 0.500 0.500 0.500
```

Peak list (12 most intense, 2θ = 10–90°, in order of rising 2θ)
2θ = 16.80°, d = 5.276 Å, I 4; 2θ = 23.85°, d = 3.731 Å, I 3; 2θ = 29.32°, d = 3.046 Å, I 100; 2θ = 33.99°, d = 2.638 Å, I 76; 2θ = 38.14°, d = 2.359 Å, I 2; 2θ = 41.95°, d = 2.154 Å, I 1; 2θ = 48.82°, d = 1.865 Å, I 55; 2θ = 57.98°, d = 1.591 Å, I 45; 2θ = 60.82°, d = 1.523 Å, I 19; 2θ = 71.53°, d = 1.319 Å, I 9; 2θ = 79.13°, d = 1.210 Å, I 18; 2θ = 81.61°, d = 1.180 Å, I 25

=====

(2)
For Li4LaSn4, a DFT-relaxed cell (PBE, Alexandria) gives the calculated PXRD pattern in this record (copper Kα).
Peak positions follow from Bragg's law for the DFT cell and can differ from measured ones.

Crystal structure
```
data_Li4LaSn4
_space_group_name_H-M_alt 'P 1'
_space_group_IT_number 1
_cell_length_a 6.627
_cell_length_b 6.627
_cell_length_c 9.500
_cell_angle_alpha 90.00
_cell_angle_beta 90.00
_cell_angle_gamma 90.00
loop_
_space_group_symop_operation_xyz
'x,y,z'
loop_
_atom_site_label
_atom_site_type_symbol
_atom_site_fract_x
_atom_site_fract_y
_atom_site_fract_z
Li1 Li 0.018 0.250 0.164
Li2 Li 0.250 0.018 0.664
Li3 Li 0.250 0.482 0.664
Li4 Li 0.482 0.250 0.164
Li5 Li 0.518 0.750 0.836
Li6 Li 0.750 0.518 0.336
Li7 Li 0.750 0.982 0.336
Li8 Li 0.982 0.750 0.836
La1 La 0.250 0.750 0.250
La2 La 0.750 0.250 0.750
Sn1 Sn 0.033 0.250 0.459
Sn2 Sn 0.250 0.033 0.959
Sn3 Sn 0.250 0.467 0.959
Sn4 Sn 0.467 0.250 0.459
Sn5 Sn 0.533 0.750 0.541
Sn6 Sn 0.750 0.533 0.041
Sn7 Sn 0.750 0.967 0.041
Sn8 Sn 0.967 0.750 0.541
```

Peak list (12 most intense, 2θ = 10–90°, in order of rising 2θ)
2θ = 18.68°, d = 4.750 Å, I 27; 2θ = 23.04°, d = 3.861 Å, I 16; 2θ = 26.72°, d = 3.336 Å, I 30; 2θ = 28.53°, d = 3.129 Å, I 100; 2θ = 31.31°, d = 2.857 Å, I 30; 2θ = 31.63°, d = 2.829 Å, I 37; 2θ = 39.36°, d = 2.289 Å, I 28; 2θ = 40.34°, d = 2.236 Å, I 14; 2θ = 43.05°, d = 2.101 Å, I 46; 2θ = 50.37°, d = 1.812 Å, I 18; 2θ = 57.63°, d = 1.600 Å, I 22; 2θ = 63.55°, d = 1.464 Å, I 15

=====

(3)
For GaAg3B, a DFT-relaxed cell (PBE, Alexandria) gives the calculated PXRD pattern in this record (copper Kα).
Peak positions follow from Bragg's law for the DFT cell and can differ from measured ones.

Crystal structure
```
data_GaAg3B
_space_group_name_H-M_alt 'P 1'
_space_group_IT_number 1
_cell_length_a 4.429
_cell_length_b 4.429
_cell_length_c 4.429
_cell_angle_alpha 90.00
_cell_angle_beta 90.00
_cell_angle_gamma 90.00
loop_
_space_group_symop_operation_xyz
'x,y,z'
loop_
_atom_site_label
_atom_site_type_symbol
_atom_site_fract_x
_atom_site_fract_y
_atom_site_fract_z
Ga1 Ga 0.000 0.000 0.000
Ag1 Ag 0.000 0.500 0.500
Ag2 Ag 0.500 0.000 0.500
Ag3 Ag 0.500 0.500 0.000
B1 B 0.500 0.500 0.500
```

Peak list (11 most intense, 2θ = 10–90°, in order of rising 2θ)
2θ = 20.05°, d = 4.429 Å, I 5; 2θ = 28.50°, d = 3.132 Å, I 1; 2θ = 35.10°, d = 2.557 Å, I 100; 2θ = 40.75°, d = 2.214 Å, I 53; 2θ = 45.82°, d = 1.981 Å, I 2; 2θ = 50.48°, d = 1.808 Å, I 1; 2θ = 58.99°, d = 1.566 Å, I 34; 2θ = 62.96°, d = 1.476 Å, I 1; 2θ = 70.53°, d = 1.335 Å, I 36; 2θ = 74.17°, d = 1.278 Å, I 11; 2θ = 88.26°, d = 1.107 Å, I 5

=====

(4)
For ZnHg12, a DFT-relaxed cell (PBE, Alexandria) gives the calculated PXRD pattern in this record (copper Kα).
Peak positions follow from Bragg's law for the DFT cell and can differ from measured ones.

Crystal structure
```
data_ZnHg12
_space_group_name_H-M_alt 'P 1'
_space_group_IT_number 1
_cell_length_a 6.662
_cell_length_b 7.219
_cell_length_c 7.479
_cell_angle_alpha 95.93
_cell_angle_beta 94.86
_cell_angle_gamma 93.20
loop_
_space_group_symop_operation_xyz
'x,y,z'
loop_
_atom_site_label
_atom_site_type_symbol
_atom_site_fract_x
_atom_site_fract_y
_atom_site_fract_z
Zn1 Zn 0.000 0.000 0.000
Hg1 Hg 0.096 0.643 0.872
Hg2 Hg 0.140 0.940 0.340
Hg3 Hg 0.176 0.358 0.550
Hg4 Hg 0.367 0.546 0.227
Hg5 Hg 0.369 0.169 0.935
Hg6 Hg 0.431 0.818 0.637
Hg7 Hg 0.569 0.182 0.363
Hg8 Hg 0.631 0.831 0.065
Hg9 Hg 0.633 0.454 0.773
Hg10 Hg 0.824 0.642 0.450
Hg11 Hg 0.860 0.060 0.660
Hg12 Hg 0.904 0.357 0.128
```

Peak list (12 most intense, 2θ = 10–90°, in order of rising 2θ)
2θ = 29.85°, d = 2.993 Å, I 52; 2θ = 30.02°, d = 2.976 Å, I 58; 2θ = 30.70°, d = 2.912 Å, I 99; 2θ = 31.35°, d = 2.853 Å, I 100; 2θ = 31.85°, d = 2.810 Å, I 65; 2θ = 32.72°, d = 2.737 Å, I 49; 2θ = 32.84°, d = 2.728 Å, I 38; 2θ = 33.07°, d = 2.708 Å, I 23; 2θ = 37.70°, d = 2.386 Å, I 30; 2θ = 40.99°, d = 2.202 Å, I 38; 2θ = 43.84°, d = 2.065 Å, I 25; 2θ = 47.70°, d = 1.907 Å, I 20

=====

(5)
For Sm3Zn2Pd3, a DFT-relaxed cell (PBE, Alexandria) gives the calculated PXRD pattern in this record (copper Kα).
Peak positions follow from Bragg's law for the DFT cell and can differ from measured ones.

Crystal structure
```
data_Sm3Zn2Pd3
_space_group_name_H-M_alt 'P 1'
_space_group_IT_number 1
_cell_length_a 8.413
_cell_length_b 8.413
_cell_length_c 5.666
_cell_angle_alpha 90.00
_cell_angle_beta 90.00
_cell_angle_gamma 120.00
loop_
_space_group_symop_operation_xyz
'x,y,z'
loop_
_atom_site_label
_atom_site_type_symbol
_atom_site_fract_x
_atom_site_fract_y
_atom_site_fract_z
Sm1 Sm 0.000 0.272 0.250
Sm2 Sm 0.000 0.728 0.750
Sm3 Sm 0.272 0.000 0.250
Sm4 Sm 0.272 0.272 0.750
Sm5 Sm 0.728 0.000 0.750
Sm6 Sm 0.728 0.728 0.250
Zn1 Zn 0.333 0.667 0.000
Zn2 Zn 0.333 0.667 0.500
Zn3 Zn 0.667 0.333 0.000
Zn4 Zn 0.667 0.333 0.500
Pd1 Pd 0.000 0.396 0.750
Pd2 Pd 0.000 0.604 0.250
Pd3 Pd 0.396 0.000 0.750
Pd4 Pd 0.396 0.396 0.250
Pd5 Pd 0.604 0.000 0.250
Pd6 Pd 0.604 0.604 0.750
```

Peak list (12 most intense, 2θ = 10–90°, in order of rising 2θ)
2θ = 21.12°, d = 4.206 Å, I 24; 2θ = 31.58°, d = 2.833 Å, I 33; 2θ = 32.51°, d = 2.754 Å, I 17; 2θ = 36.27°, d = 2.477 Å, I 100; 2θ = 37.02°, d = 2.429 Å, I 60; 2θ = 38.31°, d = 2.350 Å, I 66; 2θ = 47.79°, d = 1.903 Å, I 26; 2θ = 49.43°, d = 1.844 Å, I 15; 2θ = 57.48°, d = 1.603 Å, I 17; 2θ = 59.33°, d = 1.558 Å, I 24; 2θ = 70.37°, d = 1.338 Å, I 14; 2θ = 74.41°, d = 1.275 Å, I 13

=====

(6)
For MnBiPS2, a DFT-relaxed cell (PBE, Alexandria) gives the calculated PXRD pattern in this record (copper Kα).
Peak positions follow from Bragg's law for the DFT cell and can differ from measured ones.

Crystal structure
```
data_MnBiPS2
_space_group_name_H-M_alt 'P 1'
_space_group_IT_number 1
_cell_length_a 4.550
_cell_length_b 4.550
_cell_length_c 4.772
_cell_angle_alpha 90.00
_cell_angle_beta 90.00
_cell_angle_gamma 90.00
loop_
_space_group_symop_operation_xyz
'x,y,z'
loop_
_atom_site_label
_atom_site_type_symbol
_atom_site_fract_x
_atom_site_fract_y
_atom_site_fract_z
Mn1 Mn 0.000 0.000 0.000
Bi1 Bi 0.500 0.500 0.500
P1 P 0.000 0.000 0.500
S1 S 0.000 0.500 0.000
S2 S 0.500 0.000 0.000
```

Peak list (12 most intense, 2θ = 10–90°, in order of rising 2θ)
2θ = 19.51°, d = 4.550 Å, I 26; 2θ = 27.08°, d = 3.293 Å, I 100; 2θ = 27.73°, d = 3.218 Å, I 45; 2θ = 33.59°, d = 2.668 Å, I 66; 2θ = 37.70°, d = 2.386 Å, I 25; 2θ = 39.61°, d = 2.275 Å, I 44; 2θ = 47.44°, d = 1.917 Å, I 22; 2θ = 48.64°, d = 1.872 Å, I 42; 2θ = 55.83°, d = 1.647 Å, I 32; 2θ = 57.27°, d = 1.609 Å, I 15; 2θ = 68.05°, d = 1.378 Å, I 17; 2θ = 70.61°, d = 1.334 Å, I 16

=====

(7)
For Pm8Y3, a DFT-relaxed cell (PBE, Alexandria) gives the calculated PXRD pattern in this record (copper Kα).
Peak positions follow from Bragg's law for the DFT cell and can differ from measured ones.

Crystal structure
```
data_Pm8Y3
_space_group_name_H-M_alt 'P 1'
_space_group_IT_number 1
_cell_length_a 7.611
_cell_length_b 7.611
_cell_length_c 7.611
_cell_angle_alpha 105.34
_cell_angle_beta 105.34
_cell_angle_gamma 105.34
loop_
_space_group_symop_operation_xyz
'x,y,z'
loop_
_atom_site_label
_atom_site_type_symbol
_atom_site_fract_x
_atom_site_fract_y
_atom_site_fract_z
Pm1 Pm 0.183 0.572 0.672
Pm2 Pm 0.230 0.230 0.230
Pm3 Pm 0.328 0.817 0.428
Pm4 Pm 0.428 0.328 0.817
Pm5 Pm 0.572 0.672 0.183
Pm6 Pm 0.672 0.183 0.572
Pm7 Pm 0.770 0.770 0.770
Pm8 Pm 0.817 0.428 0.328
Y1 Y 0.000 0.000 0.500
Y2 Y 0.000 0.500 0.000
Y3 Y 0.500 0.000 0.000
```

Peak list (12 most intense, 2θ = 10–90°, in order of rising 2θ)
2θ = 12.93°, d = 6.849 Å, I 16; 2θ = 24.53°, d = 3.629 Å, I 21; 2θ = 29.52°, d = 3.026 Å, I 100; 2θ = 29.63°, d = 3.015 Å, I 45; 2θ = 29.98°, d = 2.980 Å, I 81; 2θ = 32.34°, d = 2.768 Å, I 41; 2θ = 36.75°, d = 2.446 Å, I 37; 2θ = 39.40°, d = 2.287 Å, I 18; 2θ = 42.31°, d = 2.136 Å, I 44; 2θ = 50.05°, d = 1.822 Å, I 16; 2θ = 52.66°, d = 1.738 Å, I 19; 2θ = 55.84°, d = 1.646 Å, I 22

=====

(8)
For TcSbRh2, a DFT-relaxed cell (PBE, Alexandria) gives the calculated PXRD pattern in this record (copper Kα).
Peak positions follow from Bragg's law for the DFT cell and can differ from measured ones.

Crystal structure
```
data_TcSbRh2
_space_group_name_H-M_alt 'P 1'
_space_group_IT_number 1
_cell_length_a 2.936
_cell_length_b 2.936
_cell_length_c 7.506
_cell_angle_alpha 90.00
_cell_angle_beta 90.00
_cell_angle_gamma 90.00
loop_
_space_group_symop_operation_xyz
'x,y,z'
loop_
_atom_site_label
_atom_site_type_symbol
_atom_site_fract_x
_atom_site_fract_y
_atom_site_fract_z
Tc1 Tc 0.000 0.000 0.000
Sb1 Sb 0.000 0.000 0.500
Rh1 Rh 0.500 0.500 0.233
Rh2 Rh 0.500 0.500 0.767
```

Peak list (12 most intense, 2θ = 10–90°, in order of rising 2θ)
2θ = 32.75°, d = 2.734 Å, I 2; 2θ = 35.89°, d = 2.502 Å, I 1; 2θ = 38.95°, d = 2.313 Å, I 100; 2θ = 43.59°, d = 2.076 Å, I 37; 2θ = 48.51°, d = 1.876 Å, I 12; 2θ = 57.70°, d = 1.598 Å, I 1; 2θ = 63.35°, d = 1.468 Å, I 12; 2θ = 67.25°, d = 1.392 Å, I 18; 2θ = 70.45°, d = 1.337 Å, I 2; 2θ = 76.92°, d = 1.239 Å, I 26; 2θ = 83.63°, d = 1.156 Å, I 10; 2θ = 84.11°, d = 1.151 Å, I 9

=====

(9)
For La2InSe5, a DFT-relaxed cell (PBE, Alexandria) gives the calculated PXRD pattern in this record (copper Kα).
Peak positions follow from Bragg's law for the DFT cell and can differ from measured ones.

Crystal structure
```
data_La2InSe5
_space_group_name_H-M_alt 'P 1'
_space_group_IT_number 1
_cell_length_a 8.027
_cell_length_b 8.027
_cell_length_c 12.960
_cell_angle_alpha 90.00
_cell_angle_beta 90.00
_cell_angle_gamma 137.12
loop_
_space_group_symop_operation_xyz
'x,y,z'
loop_
_atom_site_label
_atom_site_type_symbol
_atom_site_fract_x
_atom_site_fract_y
_atom_site_fract_z
La1 La 0.163 0.837 0.573
La2 La 0.163 0.837 0.927
La3 La 0.837 0.163 0.073
La4 La 0.837 0.163 0.427
In1 In 0.175 0.825 0.250
In2 In 0.825 0.175 0.750
Se1 Se 0.034 0.966 0.106
Se2 Se 0.034 0.966 0.394
Se3 Se 0.293 0.707 0.750
Se4 Se 0.300 0.700 0.093
Se5 Se 0.300 0.700 0.407
Se6 Se 0.700 0.300 0.593
Se7 Se 0.700 0.300 0.907
Se8 Se 0.707 0.293 0.250
Se9 Se 0.966 0.034 0.606
Se10 Se 0.966 0.034 0.894
```

Peak list (12 most intense, 2θ = 10–90°, in order of rising 2θ)
2θ = 11.84°, d = 7.472 Å, I 72; 2θ = 16.23°, d = 5.463 Å, I 94; 2θ = 23.79°, d = 3.740 Å, I 80; 2θ = 30.46°, d = 2.934 Å, I 80; 2θ = 31.66°, d = 2.826 Å, I 100; 2θ = 39.01°, d = 2.309 Å, I 43; 2θ = 39.76°, d = 2.267 Å, I 57; 2θ = 41.82°, d = 2.160 Å, I 27; 2θ = 44.51°, d = 2.035 Å, I 77; 2θ = 45.18°, d = 2.007 Å, I 23; 2θ = 52.61°, d = 1.740 Å, I 28; 2θ = 75.04°, d = 1.266 Å, I 26

=====

(10)
For LiCu3Pd2, a DFT-relaxed cell (PBE, Alexandria) gives the calculated PXRD pattern in this record (copper Kα).
Peak positions follow from Bragg's law for the DFT cell and can differ from measured ones.

Crystal structure
```
data_LiCu3Pd2
_space_group_name_H-M_alt 'P 1'
_space_group_IT_number 1
_cell_length_a 5.924
_cell_length_b 5.924
_cell_length_c 3.766
_cell_angle_alpha 90.12
_cell_angle_beta 90.12
_cell_angle_gamma 143.12
loop_
_space_group_symop_operation_xyz
'x,y,z'
loop_
_atom_site_label
_atom_site_type_symbol
_atom_site_fract_x
_atom_site_fract_y
_atom_site_fract_z
Li1 Li 0.000 0.000 0.000
Cu1 Cu 0.168 0.832 0.500
Cu2 Cu 0.500 0.500 0.500
Cu3 Cu 0.832 0.168 0.500
Pd1 Pd 0.341 0.659 0.000
Pd2 Pd 0.659 0.341 0.000
```

Peak list (12 most intense, 2θ = 10–90°, in order of rising 2θ)
2θ = 15.77°, d = 5.620 Å, I 24; 2θ = 25.05°, d = 3.555 Å, I 28; 2θ = 34.59°, d = 2.593 Å, I 11; 2θ = 40.03°, d = 2.252 Å, I 12; 2θ = 41.59°, d = 2.172 Å, I 100; 2θ = 41.77°, d = 2.162 Å, I 99; 2θ = 48.33°, d = 1.883 Å, I 32; 2θ = 48.60°, d = 1.873 Å, I 62; 2θ = 70.97°, d = 1.328 Å, I 18; 2θ = 71.19°, d = 1.324 Å, I 28; 2θ = 85.43°, d = 1.136 Å, I 11; 2θ = 85.81°, d = 1.132 Å, I 23

=====

(11)
For BeAsAu, a DFT-relaxed cell (PBE, Alexandria) gives the calculated PXRD pattern in this record (copper Kα).
Peak positions follow from Bragg's law for the DFT cell and can differ from measured ones.

Crystal structure
```
data_BeAsAu
_space_group_name_H-M_alt 'P 1'
_space_group_IT_number 1
_cell_length_a 3.979
_cell_length_b 6.537
_cell_length_c 4.349
_cell_angle_alpha 90.00
_cell_angle_beta 107.64
_cell_angle_gamma 90.00
loop_
_space_group_symop_operation_xyz
'x,y,z'
loop_
_atom_site_label
_atom_site_type_symbol
_atom_site_fract_x
_atom_site_fract_y
_atom_site_fract_z
Be1 Be 0.171 0.000 0.411
Be2 Be 0.829 0.500 0.589
As1 As 0.284 0.362 0.428
As2 As 0.716 0.862 0.572
Au1 Au 0.100 0.163 0.903
Au2 Au 0.900 0.663 0.097
```

Peak list (12 most intense, 2θ = 10–90°, in order of rising 2θ)
2θ = 23.46°, d = 3.792 Å, I 44; 2θ = 25.45°, d = 3.500 Å, I 37; 2θ = 27.21°, d = 3.277 Å, I 100; 2θ = 29.99°, d = 2.980 Å, I 68; 2θ = 34.96°, d = 2.566 Å, I 76; 2θ = 36.29°, d = 2.476 Å, I 41; 2θ = 36.65°, d = 2.452 Å, I 20; 2θ = 45.22°, d = 2.005 Å, I 31; 2θ = 45.95°, d = 1.975 Å, I 33; 2θ = 46.29°, d = 1.961 Å, I 32; 2θ = 48.39°, d = 1.881 Å, I 28; 2θ = 49.94°, d = 1.826 Å, I 34

=====

(12)
For RbU4Pd3S12, a DFT-relaxed cell (PBE, Alexandria) gives the calculated PXRD pattern in this record (copper Kα).
Peak positions follow from Bragg's law for the DFT cell and can differ from measured ones.

Crystal structure
```
data_RbU4Pd3S12
_space_group_name_H-M_alt 'P 1'
_space_group_IT_number 1
_cell_length_a 8.461
_cell_length_b 8.461
_cell_length_c 8.461
_cell_angle_alpha 109.47
_cell_angle_beta 109.47
_cell_angle_gamma 109.47
loop_
_space_group_symop_operation_xyz
'x,y,z'
loop_
_atom_site_label
_atom_site_type_symbol
_atom_site_fract_x
_atom_site_fract_y
_atom_site_fract_z
Rb1 Rb 0.000 0.000 0.000
U1 U 0.000 0.000 0.500
U2 U 0.000 0.500 0.000
U3 U 0.500 0.000 0.000
U4 U 0.500 0.500 0.500
Pd1 Pd 0.000 0.500 0.500
Pd2 Pd 0.500 0.000 0.500
Pd3 Pd 0.500 0.500 0.000
S1 S 0.152 0.317 0.834
S2 S 0.166 0.483 0.317
S3 S 0.166 0.848 0.683
S4 S 0.317 0.166 0.483
S5 S 0.317 0.834 0.152
S6 S 0.483 0.317 0.166
S7 S 0.517 0.683 0.834
S8 S 0.683 0.166 0.848
S9 S 0.683 0.834 0.517
S10 S 0.834 0.152 0.317
S11 S 0.834 0.517 0.683
S12 S 0.848 0.683 0.166
```

Peak list (12 most intense, 2θ = 10–90°, in order of rising 2θ)
2θ = 18.16°, d = 4.885 Å, I 20; 2θ = 25.79°, d = 3.454 Å, I 100; 2θ = 36.80°, d = 2.443 Å, I 26; 2θ = 41.33°, d = 2.185 Å, I 14; 2θ = 45.48°, d = 1.994 Å, I 61; 2θ = 53.02°, d = 1.727 Å, I 15; 2θ = 59.87°, d = 1.545 Å, I 23; 2θ = 66.28°, d = 1.410 Å, I 6; 2θ = 72.38°, d = 1.306 Å, I 25; 2θ = 81.18°, d = 1.185 Å, I 5; 2θ = 84.06°, d = 1.151 Å, I 19; 2θ = 89.78°, d = 1.092 Å, I 7